Theoretical powder diffractogram
Compound: Lu2Co2O5
Radiation: Cu Ka
Structure: a DFT-relaxed cell (PBE+U, OQMD)

Main lines, in order of falling intensity (2θ from 10° to 90°):
Position (°2θ)	I/Imax
35.88	1000
33.72	560
61.73	414
48.43	338
43.44	319
23.67	313
65.85	124
76.07	113
26.58	111
60.45	103

```
data_Lu2Co2O5
_chemical_formula_sum 'Lu2 Co2 O5'
_space_group_name_H-M_alt 'P 4/m m m'
_space_group_IT_number 123
_space_group_name_Hall '-P 4 2'
_cell_length_a 3.7588
_cell_length_b 3.7588
_cell_length_c 6.7077
_cell_angle_alpha 90.00
_cell_angle_beta 90.00
_cell_angle_gamma 90.00
loop_
_atom_site_label
_atom_site_type_symbol
_atom_site_fract_x
_atom_site_fract_y
_atom_site_fract_z
Lu1 Lu 0.0000 0.0000 0.0000
Lu2 Lu 0.0000 0.0000 0.5000
Co1 Co 0.5000 0.5000 0.2016
O1 O 0.0000 0.5000 0.2166
O2 O 0.5000 0.5000 0.5000
```